1.
# Pu2BPd2Pt4
Calculated powder X-ray diffraction pattern, Cu Kα X-rays. Input: the PBE geometry in Alexandria.

Cell and atoms:
```
Pu2BPd2Pt4
1.0
-2.996 2.996 4.291
2.996 -2.996 4.291
2.996 2.996 -4.291
Pu B Pd Pt
2 1 2 4
Cartesian
2.996 0.000 2.146
0.000 2.996 2.146
0.000 0.000 0.000
0.000 0.000 2.251
0.000 0.000 6.332
1.521 1.521 0.000
1.474 -1.474 4.291
-1.474 1.474 4.291
1.474 1.474 4.291
```

The 10 most intense peaks (5 to 70 degrees two-theta), in order of rising 2θ:
| 2theta | intensity |
| --- | --- |
| 20.97 | 5 |
| 29.63 | 6 |
| 36.58 | 100 |
| 42.11 | 17 |
| 42.69 | 33 |
| 47.50 | 2 |
| 48.02 | 1 |
| 52.82 | 2 |
| 61.52 | 23 |
| 61.96 | 11 |

***

2.
# Li2Cd3Hg3
Calculated powder X-ray diffraction pattern, Cu Kα X-rays. Input: the PBE geometry in Alexandria.

Cell and atoms:
```
Li2Cd3Hg3
1.0
2.470 1.426 7.978
-2.470 1.426 7.978
0.000 -2.852 7.978
Li Cd Hg
2 3 3
Cartesian
0.000 0.000 0.000
0.000 0.000 11.826
0.000 0.000 5.890
0.000 0.000 14.852
0.000 0.000 17.897
0.000 0.000 2.884
0.000 0.000 8.875
0.000 0.000 20.979
```

The 10 most intense peaks (5 to 70 degrees two-theta), in order of rising 2θ:
| 2theta | intensity |
| --- | --- |
| 22.07 | 19 |
| 25.60 | 60 |
| 36.38 | 100 |
| 36.65 | 97 |
| 45.01 | 14 |
| 52.60 | 34 |
| 59.19 | 13 |
| 65.45 | 18 |
| 65.63 | 35 |
| 66.18 | 16 |

***

3.
# MnZn2Pt2
Calculated powder X-ray diffraction pattern, Cu Kα X-rays. Input: the PBE geometry in Alexandria.

Cell and atoms:
```
MnZn2Pt2
1.0
7.334 0.000 0.000
0.000 7.334 0.000
0.000 0.000 2.865
Mn Zn Pt
2 4 4
Cartesian
0.000 0.000 0.000
3.667 3.667 0.000
0.907 2.759 0.000
2.759 6.426 0.000
4.574 0.907 0.000
6.426 4.574 0.000
1.282 4.948 1.433
2.385 1.282 1.433
4.948 6.052 1.433
6.052 2.385 1.433
```

The 10 most intense peaks (5 to 70 degrees two-theta), in order of rising 2θ:
| 2theta | intensity |
| --- | --- |
| 17.10 | 15 |
| 24.27 | 20 |
| 27.19 | 34 |
| 38.83 | 39 |
| 39.93 | 32 |
| 41.87 | 100 |
| 51.37 | 21 |
| 52.97 | 13 |
| 61.35 | 24 |
| 62.78 | 14 |

***

4.
# InAg2Au6
Calculated powder X-ray diffraction pattern, Cu Kα X-rays. Input: the PBE geometry in Alexandria.

Cell and atoms:
```
InAg2Au6
1.0
4.631 -2.092 0.000
4.631 2.092 0.000
-2.545 0.000 8.536
In Ag Au
1 2 6
Cartesian
0.000 0.000 0.000
1.062 0.000 6.578
5.655 0.000 1.958
-0.814 0.000 2.837
2.831 0.000 0.946
1.975 0.000 3.805
4.742 0.000 4.731
3.887 0.000 7.590
7.531 0.000 5.699
```

The 10 most intense peaks (5 to 70 degrees two-theta), in order of rising 2θ:
| 2theta | intensity |
| --- | --- |
| 10.36 | 3 |
| 24.48 | 2 |
| 37.18 | 100 |
| 42.35 | 18 |
| 43.24 | 16 |
| 44.00 | 16 |
| 62.12 | 11 |
| 62.62 | 5 |
| 62.82 | 5 |
| 63.39 | 11 |

***

5.
# LaSc2In
Calculated powder X-ray diffraction pattern, Cu Kα X-rays. Input: the PBE geometry in Alexandria.

Cell and atoms:
```
LaSc2In
1.0
0.000 3.763 3.763
3.763 0.000 3.763
3.763 3.763 0.000
La Sc In
1 2 1
Cartesian
0.000 0.000 0.000
1.881 1.881 1.881
3.763 3.763 3.763
5.644 5.644 5.644
```

The 7 most intense peaks (5 to 70 degrees two-theta), in order of rising 2θ:
| 2theta | intensity |
| --- | --- |
| 20.44 | 26 |
| 33.68 | 100 |
| 39.72 | 15 |
| 48.38 | 17 |
| 53.04 | 7 |
| 60.24 | 35 |
| 64.32 | 5 |

***

6.
# NdTmBiAs
Calculated powder X-ray diffraction pattern, Cu Kα X-rays. Input: the PBE geometry in Alexandria.

Cell and atoms:
```
NdTmBiAs
1.0
2.156 1.245 7.189
-2.156 1.245 7.189
0.000 -2.489 7.189
Nd Tm Bi As
1 1 1 1
Cartesian
0.000 0.000 0.000
0.000 0.000 10.445
0.000 0.000 5.134
0.000 0.000 16.095
```

The 10 most intense peaks (5 to 70 degrees two-theta), in order of rising 2θ:
| 2theta | intensity |
| --- | --- |
| 24.19 | 9 |
| 29.09 | 100 |
| 31.70 | 10 |
| 41.31 | 36 |
| 41.91 | 39 |
| 51.83 | 20 |
| 57.51 | 6 |
| 60.31 | 12 |
| 67.90 | 15 |
| 68.76 | 18 |